Entry 1:
Computed powder diffractogram of ZnAg2GeS4 for Cu Kα X-rays, from a crystal structure in Alexandria, relaxed with PBE.
Neutral-atom scattering factors, no anomalous dispersion.

Atomic structure:
abc: 7.5599 7.1188 6.5608
angles: 90.00 90.00 90.00
Positions (direct):
Zn: 0.0000 0.1432 0.0000
Zn: 0.5000 0.8568 0.5000
Ag: 0.2440 0.3326 0.5203
Ag: 0.2560 0.6674 0.0203
Ag: 0.7440 0.6674 0.0203
Ag: 0.7560 0.3326 0.5203
Ge: 0.0000 0.8402 0.5048
Ge: 0.5000 0.1598 0.0048
S: 0.0000 0.1262 0.3628
S: 0.0000 0.8469 0.8483
S: 0.2441 0.6772 0.4060
S: 0.2559 0.3228 0.9060
S: 0.5000 0.1531 0.3483
S: 0.5000 0.8738 0.8628
S: 0.7441 0.3228 0.9060
S: 0.7559 0.6772 0.4060

Most intense lines, 10° ≤ 2θ ≤ 90°, sorted by position:
2θ (°)  I/Imax
25.02  288
26.70  757
27.18  715
28.53  627
30.03  1000
38.47  302
45.11  558
48.15  244
48.88  325
49.85  534
53.47  391
56.15  216

Entry 2:
Computed powder diffractogram of Zn3GaNi4 for Cu Kα X-rays, from a crystal structure in Alexandria, relaxed with PBE.
Neutral-atom scattering factors, no anomalous dispersion.

Atomic structure:
abc: 8.4236 5.4119 4.2737
angles: 90.00 90.00 90.00
Positions (direct):
Zn: 0.0000 0.0000 0.0000
Zn: 0.2500 0.0000 0.4203
Zn: 0.2500 0.5000 0.4206
Zn: 0.5000 0.0000 0.0000
Zn: 0.7500 0.0000 0.5797
Zn: 0.7500 0.5000 0.5794
Ga: 0.0000 0.5000 0.0000
Ga: 0.5000 0.5000 0.0000
Ni: 0.0000 0.2519 0.5000
Ni: 0.0000 0.7481 0.5000
Ni: 0.2500 0.2526 0.9117
Ni: 0.2500 0.7474 0.9117
Ni: 0.5000 0.2519 0.5000
Ni: 0.5000 0.7481 0.5000
Ni: 0.7500 0.2526 0.0883
Ni: 0.7500 0.7474 0.0883

Most intense lines, 10° ≤ 2θ ≤ 90°, sorted by position:
2θ (°)  I/Imax
40.90  96
42.29  196
42.95  334
43.70  118
45.12  1000
53.92  61
61.86  119
69.47  73
76.40  53
79.34  49
80.24  165
85.26  81

Entry 3:
Computed powder diffractogram of Tm4TePb2 for Cu Kα X-rays, from a crystal structure in Alexandria, relaxed with PBE.
Neutral-atom scattering factors, no anomalous dispersion.

Atomic structure:
abc: 7.9696 7.9696 7.9696
angles: 109.77 109.77 108.88
Positions (direct):
Tm: 0.1210 0.2262 0.7452
Tm: 0.1258 0.7311 0.7548
Tm: 0.2689 0.0238 0.3948
Tm: 0.4811 0.3758 0.2548
Tm: 0.6242 0.8790 0.1052
Tm: 0.6290 0.8742 0.6052
Tm: 0.7738 0.5189 0.8948
Tm: 0.9762 0.3710 0.2452
Te: 0.0000 0.0000 0.0000
Te: 0.7500 0.2500 0.5000
Pb: 0.2495 0.6250 0.1245
Pb: 0.3750 0.4995 0.6245
Pb: 0.5005 0.1250 0.8755
Pb: 0.8750 0.7505 0.3755

Most intense lines, 10° ≤ 2θ ≤ 90°, sorted by position:
2θ (°)  I/Imax
30.53  450
30.83  1000
36.41  436
36.61  569
46.24  123
48.56  157
50.41  95
50.75  98
62.32  147
62.42  126
64.21  104
76.22  94

Entry 4:
Computed powder diffractogram of AgSbTe2 for Cu Kα X-rays, from a crystal structure in Alexandria, relaxed with PBE.
Neutral-atom scattering factors, no anomalous dispersion.

Atomic structure:
abc: 6.1661 6.1661 11.9770
angles: 90.00 90.00 90.00
Positions (direct):
Ag: 0.0000 0.0000 0.2500
Ag: 0.0000 0.0000 0.7500
Ag: 0.0000 0.5000 0.0000
Ag: 0.5000 0.0000 0.5000
Sb: 0.0000 0.0000 0.0000
Sb: 0.0000 0.0000 0.5000
Sb: 0.0000 0.5000 0.5000
Sb: 0.5000 0.0000 0.0000
Te: 0.0000 0.5000 0.2459
Te: 0.0000 0.5000 0.7541
Te: 0.5000 0.0000 0.2541
Te: 0.5000 0.0000 0.7459
Te: 0.5000 0.5000 0.0000
Te: 0.5000 0.5000 0.2500
Te: 0.5000 0.5000 0.5000
Te: 0.5000 0.5000 0.7500

Most intense lines, 10° ≤ 2θ ≤ 90°, sorted by position:
2θ (°)  I/Imax
28.96  1000
29.84  461
41.42  375
42.07  716
51.88  383
60.01  123
61.99  55
67.99  167
68.46  163
69.84  153
75.99  242
77.32  115

Entry 5:
Computed powder diffractogram of Cs2K3Au for Cu Kα X-rays, from a crystal structure in Alexandria, relaxed with PBE.
Neutral-atom scattering factors, no anomalous dispersion.

Atomic structure:
abc: 6.3484 6.3484 11.4187
angles: 90.00 90.00 120.00
Positions (direct):
Cs: 0.0000 0.0000 0.2028
Cs: 0.0000 0.0000 0.7972
K: 0.3333 0.6667 0.5000
K: 0.6667 0.3333 0.0000
K: 0.6667 0.3333 0.5000
Au: 0.3333 0.6667 0.0000

Most intense lines, 10° ≤ 2θ ≤ 90°, sorted by position:
2θ (°)  I/Imax
16.12  180
17.91  181
22.45  1000
28.11  606
28.52  332
29.20  174
36.27  289
40.48  131
42.59  199
46.51  283
49.15  134
50.01  143

Entry 6:
Computed powder diffractogram of Na5B7C3 for Cu Kα X-rays, from a crystal structure in Alexandria, relaxed with PBE.
Neutral-atom scattering factors, no anomalous dispersion.

Atomic structure:
abc: 11.6082 11.6082 9.9975
angles: 107.03 107.03 14.00
Positions (direct):
Na: 0.0000 0.0000 0.0000
Na: 0.1017 0.1017 0.6917
Na: 0.1997 0.1997 0.3911
Na: 0.2996 0.2996 0.0925
Na: 0.3997 0.3997 0.7946
Na: 0.5003 0.5003 0.4917
Na: 0.6006 0.6006 0.1943
Na: 0.7014 0.7014 0.8923
Na: 0.7988 0.7988 0.5928
Na: 0.8999 0.8999 0.2912
B: 0.0840 0.0840 0.4083
B: 0.1204 0.1204 0.9843
B: 0.2176 0.2176 0.6777
B: 0.2857 0.2857 0.8157
B: 0.3084 0.3084 0.3600
B: 0.3760 0.3760 0.4952
B: 0.4197 0.4197 0.0843
B: 0.4892 0.4892 0.2210
B: 0.5284 0.5284 0.8000
B: 0.6772 0.6772 0.5956
B: 0.7142 0.7142 0.1711
B: 0.8794 0.8794 0.0038
B: 0.9202 0.9202 0.5832
B: 0.9847 0.9847 0.7113
C: 0.0204 0.0204 0.2816
C: 0.1828 0.1828 0.1087
C: 0.5882 0.5882 0.9205
C: 0.6155 0.6155 0.4705
C: 0.7772 0.7772 0.2974
C: 0.8170 0.8170 0.8798

Most intense lines, 10° ≤ 2θ ≤ 90°, sorted by position:
2θ (°)  I/Imax
34.96  84
36.25  123
40.98  354
42.12  1000
56.78  69
63.53  123
66.02  58
77.01  106
77.66  45
79.22  118
80.72  72
81.50  59

Entry 7:
Computed powder diffractogram of HoSi3OsRh for Cu Kα X-rays, from a crystal structure in Alexandria, relaxed with PBE.
Neutral-atom scattering factors, no anomalous dispersion.

Atomic structure:
abc: 7.5791 7.5791 5.4486
angles: 90.00 90.00 132.13
Positions (direct):
Ho: 0.1795 0.8205 0.7500
Ho: 0.8205 0.1795 0.2500
Si: 0.2322 0.7678 0.2500
Si: 0.2874 0.2874 0.0000
Si: 0.2874 0.2874 0.5000
Si: 0.7126 0.7126 0.0000
Si: 0.7126 0.7126 0.5000
Si: 0.7678 0.2322 0.7500
Os: 0.0693 0.9307 0.2500
Os: 0.9307 0.0693 0.7500
Rh: 0.3934 0.6066 0.2500
Rh: 0.6066 0.3934 0.7500

Most intense lines, 10° ≤ 2θ ≤ 90°, sorted by position:
2θ (°)  I/Imax
15.77  529
29.04  576
29.21  1000
30.58  430
32.88  405
36.66  198
39.31  353
42.68  353
44.43  552
51.31  185
51.58  209
68.98  163